Record 1
The following is a computed powder diffractogram of GaBi2Au7. It was derived from the PBE geometry in Alexandria, using Cu Kα.
Lines closer than 0.1° are merged.

Atomic structure:
a b c (Å): 3.902 3.902 14.118
angles (deg): 90.00 90.00 90.00
Fractional positions:
Ga 0.000 0.000 0.000
Bi 0.000 0.500 0.750
Bi 0.500 0.000 0.250
Au 0.000 0.000 0.500
Au 0.000 0.500 0.146
Au 0.000 0.500 0.349
Au 0.500 0.000 0.651
Au 0.500 0.000 0.854
Au 0.500 0.500 0.000
Au 0.500 0.500 0.500

Top 8 peaks for 2θ from 10° to 90°, sorted by position:
3.004 Å, I 41
2.570 Å, I 100
2.288 Å, I 61
2.174 Å, I 30
1.951 Å, I 46
1.484 Å, I 32
1.257 Å, I 22
1.216 Å, I 20



Record 2
The following is a computed powder diffractogram of NiBC3. It was derived from the PBE geometry in Alexandria, using Cu Kα.
Lines closer than 0.1° are merged.

Atomic structure:
a b c (Å): 2.610 3.812 4.545
angles (deg): 103.38 90.52 98.94
Fractional positions:
Ni 0.000 0.000 0.000
B 0.360 0.473 0.683
C 0.354 0.476 0.340
C 0.861 0.465 0.854
C 0.863 0.505 0.188

Top 8 peaks for 2θ from 10° to 90°, sorted by position:
4.416 Å, I 100
3.215 Å, I 38
2.576 Å, I 25
2.539 Å, I 23
2.272 Å, I 23
2.181 Å, I 20
2.125 Å, I 29
1.830 Å, I 18



Record 3
The following is a computed powder diffractogram of Fe14TcGe. It was derived from the PBE geometry in Alexandria, using Cu Kα.
Lines closer than 0.1° are merged.

Atomic structure:
a b c (Å): 4.970 4.970 8.087
angles (deg): 90.00 90.00 108.84
Fractional positions:
Fe 0.000 0.000 0.000
Fe 0.000 0.500 0.000
Fe 0.000 0.500 0.500
Fe 0.249 0.751 0.249
Fe 0.249 0.751 0.751
Fe 0.250 0.250 0.244
Fe 0.250 0.250 0.756
Fe 0.500 0.000 0.000
Fe 0.500 0.000 0.500
Fe 0.500 0.500 0.000
Fe 0.750 0.750 0.244
Fe 0.750 0.750 0.756
Fe 0.751 0.249 0.249
Fe 0.751 0.249 0.751
Tc 0.500 0.500 0.500
Ge 0.000 0.000 0.500

Top 8 peaks for 2θ from 10° to 90°, sorted by position:
8.087 Å, I 2
4.043 Å, I 1
2.033 Å, I 100
2.021 Å, I 49
1.446 Å, I 8
1.429 Å, I 15
1.176 Å, I 15
1.169 Å, I 29



Record 4
The following is a computed powder diffractogram of Cs2GaGeSb. It was derived from the PBE geometry in Alexandria, using Cu Kα.
Lines closer than 0.1° are merged.

Atomic structure:
a b c (Å): 7.350 7.350 4.500
angles (deg): 90.00 90.00 90.00
Fractional positions:
Cs 0.000 0.500 0.000
Cs 0.500 0.000 0.000
Ga 0.000 0.000 0.000
Ge 0.000 0.000 0.500
Sb 0.500 0.500 0.500

Top 8 peaks for 2θ from 10° to 90°, sorted by position:
3.675 Å, I 100
3.402 Å, I 86
2.598 Å, I 40
2.065 Å, I 42
1.919 Å, I 32
1.701 Å, I 23
1.643 Å, I 19
1.327 Å, I 19



Record 5
The following is a computed powder diffractogram of La12DyCd6. It was derived from the PBE geometry in Alexandria, using Cu Kα.
Lines closer than 0.1° are merged.

Atomic structure:
a b c (Å): 8.443 8.443 8.443
angles (deg): 88.67 88.67 88.67
Fractional positions:
La 0.035 0.934 0.314
La 0.066 0.686 0.965
La 0.109 0.451 0.343
La 0.314 0.035 0.934
La 0.343 0.109 0.451
La 0.451 0.343 0.109
La 0.549 0.657 0.891
La 0.657 0.891 0.549
La 0.686 0.965 0.066
La 0.891 0.549 0.657
La 0.934 0.314 0.035
La 0.965 0.066 0.686
Dy 0.500 0.500 0.500
Cd 0.241 0.385 0.751
Cd 0.249 0.759 0.615
Cd 0.385 0.751 0.241
Cd 0.615 0.249 0.759
Cd 0.751 0.241 0.385
Cd 0.759 0.615 0.249

Top 8 peaks for 2θ from 10° to 90°, sorted by position:
3.740 Å, I 21
2.871 Å, I 61
2.813 Å, I 62
2.785 Å, I 100
2.687 Å, I 70
2.651 Å, I 60
1.870 Å, I 19
1.555 Å, I 22



Record 6
The following is a computed powder diffractogram of Sr2IrBr2. It was derived from the PBE geometry in Alexandria, using Cu Kα.
Lines closer than 0.1° are merged.

Atomic structure:
a b c (Å): 8.306 8.306 4.512
angles (deg): 90.00 90.00 90.00
Fractional positions:
Sr 0.180 0.320 0.000
Sr 0.320 0.820 0.000
Sr 0.680 0.180 0.000
Sr 0.820 0.680 0.000
Ir 0.000 0.000 0.000
Ir 0.500 0.500 0.000
Br 0.140 0.640 0.500
Br 0.360 0.140 0.500
Br 0.640 0.860 0.500
Br 0.860 0.360 0.500

Top 8 peaks for 2θ from 10° to 90°, sorted by position:
4.512 Å, I 25
3.578 Å, I 72
2.937 Å, I 31
2.868 Å, I 100
2.627 Å, I 80
2.461 Å, I 35
2.256 Å, I 29
1.711 Å, I 44



Record 7
The following is a computed powder diffractogram of Co3Ni7Rh. It was derived from the PBE geometry in Alexandria, using Cu Kα.
Lines closer than 0.1° are merged.

Atomic structure:
a b c (Å): 4.922 3.955 7.113
angles (deg): 90.00 110.19 90.00
Fractional positions:
Co 0.000 0.000 0.000
Co 0.236 0.500 0.467
Co 0.727 0.500 0.451
Ni 0.136 0.500 0.773
Ni 0.313 0.500 0.131
Ni 0.417 0.000 0.333
Ni 0.642 0.500 0.775
Ni 0.818 0.500 0.133
Ni 0.826 0.000 0.650
Ni 0.923 0.000 0.335
Rh 0.477 0.000 0.954

Top 8 peaks for 2θ from 10° to 90°, sorted by position:
2.090 Å, I 14
1.994 Å, I 100
1.981 Å, I 39
1.977 Å, I 56
1.939 Å, I 89
1.771 Å, I 21
1.399 Å, I 24
1.145 Å, I 15



Record 8
The following is a computed powder diffractogram of KNbAg2F8. It was derived from the PBE geometry in Alexandria, using Cu Kα.
Lines closer than 0.1° are merged.

Atomic structure:
a b c (Å): 9.769 9.769 9.769
angles (deg): 29.26 29.26 29.26
Fractional positions:
K 0.000 0.000 0.000
Nb 0.500 0.500 0.500
Ag 0.275 0.275 0.275
Ag 0.725 0.725 0.725
F 0.149 0.460 0.760
F 0.240 0.540 0.851
F 0.353 0.353 0.353
F 0.460 0.760 0.149
F 0.540 0.851 0.240
F 0.647 0.647 0.647
F 0.760 0.149 0.460
F 0.851 0.240 0.540

Top 8 peaks for 2θ from 10° to 90°, sorted by position:
4.225 Å, I 27
3.649 Å, I 100
3.399 Å, I 42
2.710 Å, I 25
2.467 Å, I 52
2.044 Å, I 17
1.934 Å, I 37
1.574 Å, I 16



Record 9
The following is a computed powder diffractogram of K6Ag2Au. It was derived from the PBE geometry in Alexandria, using Cu Kα.
Lines closer than 0.1° are merged.

Atomic structure:
a b c (Å): 10.008 10.008 10.008
angles (deg): 113.96 109.54 105.03
Fractional positions:
K 0.048 0.243 0.805
K 0.173 0.267 0.440
K 0.173 0.733 0.906
K 0.334 0.043 0.709
K 0.334 0.625 0.291
K 0.438 0.243 0.195
K 0.562 0.757 0.805
K 0.666 0.375 0.709
K 0.666 0.957 0.291
K 0.827 0.267 0.094
K 0.827 0.733 0.560
K 0.952 0.757 0.195
Ag 0.117 0.617 0.500
Ag 0.367 0.000 0.367
Ag 0.633 0.000 0.633
Ag 0.883 0.383 0.500
Au 0.000 0.000 0.000
Au 0.500 0.500 0.000

Top 8 peaks for 2θ from 10° to 90°, sorted by position:
6.091 Å, I 67
5.773 Å, I 56
5.453 Å, I 83
3.322 Å, I 100
3.118 Å, I 96
3.045 Å, I 73
2.725 Å, I 64
1.813 Å, I 55



Record 10
The following is a computed powder diffractogram of Pu2HSe2. It was derived from the PBE geometry in Alexandria, using Cu Kα.
Lines closer than 0.1° are merged.

Atomic structure:
a b c (Å): 7.982 6.920 7.432
angles (deg): 90.00 90.00 90.00
Fractional positions:
Pu 0.117 0.090 0.250
Pu 0.117 0.410 0.750
Pu 0.368 0.574 0.250
Pu 0.368 0.926 0.750
Pu 0.632 0.074 0.250
Pu 0.632 0.426 0.750
Pu 0.883 0.590 0.250
Pu 0.883 0.910 0.750
H 0.122 0.084 0.750
H 0.122 0.416 0.250
H 0.878 0.584 0.750
H 0.878 0.916 0.250
Se 0.132 0.750 0.000
Se 0.132 0.750 0.500
Se 0.381 0.250 0.000
Se 0.381 0.250 0.500
Se 0.619 0.750 0.000
Se 0.619 0.750 0.500
Se 0.868 0.250 0.000
Se 0.868 0.250 0.500

Top 8 peaks for 2θ from 10° to 90°, sorted by position:
3.716 Å, I 15
3.135 Å, I 100
2.532 Å, I 54
2.014 Å, I 30
1.997 Å, I 34
1.684 Å, I 17
1.568 Å, I 12
1.360 Å, I 20



What did the second record say?
The following is a computed powder diffractogram of NiBC3. It was derived from the PBE geometry in Alexandria, using Cu Kα.
Lines closer than 0.1° are merged.

Atomic structure:
a b c (Å): 2.610 3.812 4.545
angles (deg): 103.38 90.52 98.94
Fractional positions:
Ni 0.000 0.000 0.000
B 0.360 0.473 0.683
C 0.354 0.476 0.340
C 0.861 0.465 0.854
C 0.863 0.505 0.188

Top 8 peaks for 2θ from 10° to 90°, sorted by position:
4.416 Å, I 100
3.215 Å, I 38
2.576 Å, I 25
2.539 Å, I 23
2.272 Å, I 23
2.181 Å, I 20
2.125 Å, I 29
1.830 Å, I 18